No. 1
Diffraction record for DyNbO4. The powder XRD pattern is calculated, not measured: it uses a structure optimized by DFT (GGA-PBE) and Cu Kα, 1.54184 Å.
No peak broadening, texture or thermal motion is included.

Structure:
```
data_DyNbO4
_space_group_name_H-M_alt 'I 41/a'
_space_group_IT_number 88
_cell_length_a 5.253
_cell_length_b 5.253
_cell_length_c 11.158
_cell_angle_alpha 90.00
_cell_angle_beta 90.00
_cell_angle_gamma 90.00
loop_
_space_group_symop_operation_xyz
'x,y,z'
'-x,-y,-z'
'-y+3/4,x+1/4,z+1/4'
'y+3/4,-x+1/4,-z+1/4'
'-x+1/2,-y,z+1/2'
'x+1/2,y,-z+1/2'
'y+3/4,-x+3/4,z+3/4'
'-y+3/4,x+3/4,-z+3/4'
'x+1/2,y+1/2,z+1/2'
'-x+1/2,-y+1/2,-z+1/2'
'-y+1/4,x+3/4,z+3/4'
'y+1/4,-x+3/4,-z+3/4'
'-x,-y+1/2,z'
'x,y+1/2,-z'
'y+1/4,-x+1/4,z+1/4'
'-y+1/4,x+1/4,-z+1/4'
loop_
_atom_site_label
_atom_site_fract_x
_atom_site_fract_y
_atom_site_fract_z
Dy1 0.000 0.250 0.125
Nb1 0.000 0.250 0.625
O1 0.176 0.004 0.286
```

Main lines, low angle first (5 to 70 degrees two-theta):
- 18.7 deg, rel. 7, (1 0 1)
- 28.9 deg, rel. 100, (1 1 2)
- 32.1 deg, rel. 13, (0 0 4)
- 34.1 deg, rel. 20, (2 0 0)
- 39.2 deg, rel. 4, (2 1 1)
- 47.6 deg, rel. 31, (2 0 4)
- 49.1 deg, rel. 15, (2 2 0)
- 55.2 deg, rel. 16, (1 1 6)
- 57.9 deg, rel. 28, (1 3 2)
- 59.8 deg, rel. 11, (2 2 4)

---

No. 2
Diffraction record for SiO2. The powder XRD pattern is calculated, not measured: it uses a structure optimized by DFT (GGA-PBE) and Cu Kα, 1.54184 Å.
No peak broadening, texture or thermal motion is included.

Structure:
```
data_SiO2
_space_group_name_H-M_alt 'P 1 21/c 1'
_space_group_IT_number 14
_space_group_name_Hall '-P 2ybc'
_cell_length_a 8.895
_cell_length_b 8.022
_cell_length_c 8.899
_cell_angle_alpha 90.00
_cell_angle_beta 90.32
_cell_angle_gamma 90.00
loop_
_atom_site_label
_atom_site_fract_x
_atom_site_fract_y
_atom_site_fract_z
Si1 0.095 0.140 0.091
Si2 0.157 0.607 0.842
Si3 0.339 0.629 0.146
Si4 0.396 0.128 0.905
O1 0.000 0.000 0.000
O2 0.001 0.185 0.600
O3 0.128 0.072 0.261
O4 0.229 0.733 0.718
O5 0.251 0.178 0.004
O6 0.275 0.582 0.980
O7 0.343 0.039 0.748
O8 0.491 0.204 0.367
O9 0.500 0.000 0.000
```

Main lines, low angle first (5 to 70 degrees two-theta):
- 25.0 deg, rel. 100, (2 1 -1)
- 26.4 deg, rel. 37, (1 2 -1)
- 32.2 deg, rel. 9, (0 1 3)
- 40.7 deg, rel. 4, (2 3 1)
- 45.5 deg, rel. 5, (4 0 -2)
- 45.7 deg, rel. 6, (2 0 4)
- 50.2 deg, rel. 4, (3 3 -2)
- 50.4 deg, rel. 4, (2 3 3)
- 62.4 deg, rel. 8, (1 5 2)
- 65.3 deg, rel. 3, (5 2 -3)

---

No. 3
Diffraction record for Zr6BCl14. The powder XRD pattern is calculated, not measured: it uses a structure optimized by DFT (GGA-PBE) and Cu Kα, 1.54184 Å.
No peak broadening, texture or thermal motion is included.

Structure:
```
data_Zr6BCl14
_space_group_name_H-M_alt 'C m c e'
_space_group_IT_number 64
_space_group_name_Hall '-C 2ac 2'
_cell_length_a 14.500
_cell_length_b 13.002
_cell_length_c 11.722
_cell_angle_alpha 90.00
_cell_angle_beta 90.00
_cell_angle_gamma 90.00
loop_
_atom_site_label
_atom_site_fract_x
_atom_site_fract_y
_atom_site_fract_z
Zr1 0.000 0.148 0.108
Zr2 0.118 0.070 0.883
B1 0.000 0.000 0.000
Cl1 0.000 0.158 0.741
Cl2 0.121 0.086 0.248
Cl3 0.123 0.240 0.992
Cl4 0.249 0.000 0.000
Cl5 0.250 0.147 0.750
```

Main lines, low angle first (5 to 70 degrees two-theta):
- 11.9 deg, rel. 100, (1 1 1)
- 24.6 deg, rel. 10, (4 0 0)
- 24.8 deg, rel. 14, (3 1 2)
- 31.7 deg, rel. 8, (3 3 2)
- 32.1 deg, rel. 10, (4 2 2)
- 35.9 deg, rel. 14, (0 4 3)
- 36.5 deg, rel. 33, (4 2 3)
- 38.4 deg, rel. 12, (1 5 2)
- 40.5 deg, rel. 8, (5 3 2)
- 49.0 deg, rel. 14, (4 6 0)

---

No. 4
Diffraction record for Sc6Te2Os. The powder XRD pattern is calculated, not measured: it uses a structure optimized by DFT (GGA-PBE) and Cu Kα, 1.54184 Å.
No peak broadening, texture or thermal motion is included.

Structure:
```
data_Sc6Te2Os
_space_group_name_H-M_alt 'P -6 2 m'
_space_group_IT_number 189
_space_group_name_Hall 'P -6 -2'
_cell_length_a 7.7433
_cell_length_b 7.7433
_cell_length_c 3.8844
_cell_angle_alpha 90.00
_cell_angle_beta 90.00
_cell_angle_gamma 120.00
loop_
_atom_site_label
_atom_site_fract_x
_atom_site_fract_y
_atom_site_fract_z
Sc1 0.0000 0.2391 0.0000
Sc2 0.0000 0.6167 0.5000
Te1 0.3333 0.6667 0.0000
Os1 0.0000 0.0000 0.5000
```

Main lines, low angle first (5 to 70 degrees two-theta):
- 13.2 deg, rel. 23, (1 0 0)
- 23.0 deg, rel. 89, (1 1 0)
- 26.5 deg, rel. 65, (1 0 1)
- 32.7 deg, rel. 28, (1 1 1)
- 35.4 deg, rel. 100, (2 0 1)
- 40.3 deg, rel. 57, (3 0 0)
- 42.6 deg, rel. 82, (2 1 1)
- 63.4 deg, rel. 29, (3 0 2)
- 63.6 deg, rel. 20, (4 1 0)
- 65.2 deg, rel. 31, (3 2 1)

---

No. 5
Diffraction record for Pr3Ga10Ni. The powder XRD pattern is calculated, not measured: it uses a structure optimized by DFT (GGA-PBE) and Cu Kα, 1.54184 Å.
No peak broadening, texture or thermal motion is included.

Structure:
```
data_Pr3Ga10Ni
_space_group_name_H-M_alt 'P m m m'
_space_group_IT_number 47
_space_group_name_Hall '-P 2 2'
_cell_length_a 4.268
_cell_length_b 4.320
_cell_length_c 15.399
_cell_angle_alpha 90.00
_cell_angle_beta 90.00
_cell_angle_gamma 90.00
loop_
_atom_site_label
_atom_site_fract_x
_atom_site_fract_y
_atom_site_fract_z
Pr1 0.000 0.000 0.000
Pr2 0.000 0.500 0.253
Ga1 0.000 0.000 0.416
Ga2 0.500 0.000 0.158
Ga3 0.500 0.000 0.317
Ga4 0.500 0.500 0.081
Ga5 0.500 0.500 0.415
Ni1 0.000 0.500 0.500
```

Main lines, low angle first (5 to 70 degrees two-theta):
- 31.3 deg, rel. 43, (1 0 4)
- 31.7 deg, rel. 100, (1 1 2)
- 40.9 deg, rel. 27, (0 1 6)
- 41.8 deg, rel. 50, (0 2 0)
- 42.4 deg, rel. 31, (2 0 0)
- 46.3 deg, rel. 14, (0 1 7)
- 52.1 deg, rel. 12, (1 0 8)
- 53.1 deg, rel. 19, (1 2 4)
- 60.4 deg, rel. 19, (2 1 6)
- 61.0 deg, rel. 20, (2 2 0)

---

No. 6
Diffraction record for Fe11MoC4. The powder XRD pattern is calculated, not measured: it uses a structure optimized by DFT (GGA-PBE) and Cu Kα, 1.54184 Å.
No peak broadening, texture or thermal motion is included.

Structure:
```
data_Fe11MoC4
_space_group_name_H-M_alt 'P m m m'
_space_group_IT_number 47
_space_group_name_Hall '-P 2 2'
_cell_length_a 2.945
_cell_length_b 5.646
_cell_length_c 9.999
_cell_angle_alpha 90.00
_cell_angle_beta 90.00
_cell_angle_gamma 90.00
loop_
_atom_site_label
_atom_site_fract_x
_atom_site_fract_y
_atom_site_fract_z
Fe1 0.000 0.000 0.000
Fe2 0.000 0.000 0.320
Fe3 0.000 0.500 0.315
Fe4 0.500 0.244 0.189
Fe5 0.500 0.260 0.500
Mo1 0.000 0.500 0.000
C1 0.000 0.000 0.500
C2 0.000 0.500 0.500
C3 0.500 0.227 0.000
```

Main lines, low angle first (5 to 70 degrees two-theta):
- 8.8 deg, rel. 3, (0 0 1)
- 35.9 deg, rel. 14, (0 0 4)
- 40.9 deg, rel. 96, (1 0 3)
- 41.9 deg, rel. 89, (0 2 3)
- 44.5 deg, rel. 100, (1 2 0)
- 55.1 deg, rel. 18, (0 0 6)
- 55.5 deg, rel. 3, (1 0 5)
- 58.4 deg, rel. 11, (1 2 4)
- 63.1 deg, rel. 16, (2 0 0)
- 66.2 deg, rel. 13, (0 4 0)

---

No. 7
Diffraction record for Cs2ReO4. The powder XRD pattern is calculated, not measured: it uses a structure optimized by DFT (GGA-PBE) and Cu Kα, 1.54184 Å.
No peak broadening, texture or thermal motion is included.

Structure:
```
data_Cs2ReO4
_space_group_name_H-M_alt 'P n m a'
_space_group_IT_number 62
_space_group_name_Hall '-P 2ac 2n'
_cell_length_a 8.668
_cell_length_b 6.641
_cell_length_c 11.808
_cell_angle_alpha 90.00
_cell_angle_beta 90.00
_cell_angle_gamma 90.00
loop_
_atom_site_label
_atom_site_fract_x
_atom_site_fract_y
_atom_site_fract_z
Cs1 0.009 0.250 0.208
Cs2 0.172 0.750 0.415
Re1 0.225 0.750 0.079
O1 0.017 0.750 0.081
O2 0.200 0.029 0.650
O3 0.205 0.250 0.434
```

Main lines, low angle first (5 to 70 degrees two-theta):
- 18.4 deg, rel. 18, (1 1 1)
- 24.5 deg, rel. 14, (2 1 0)
- 25.5 deg, rel. 35, (2 0 2)
- 25.7 deg, rel. 71, (2 1 1)
- 26.3 deg, rel. 100, (0 1 3)
- 26.8 deg, rel. 57, (0 2 0)
- 34.9 deg, rel. 15, (2 2 1)
- 37.4 deg, rel. 30, (2 2 2)
- 46.1 deg, rel. 15, (0 0 6)
- 47.1 deg, rel. 20, (0 3 3)

---

No. 8
Diffraction record for Mg2TiO4. The powder XRD pattern is calculated, not measured: it uses a structure optimized by DFT (GGA-PBE) and Cu Kα, 1.54184 Å.
No peak broadening, texture or thermal motion is included.

Structure:
```
data_Mg2TiO4
_space_group_name_H-M_alt 'C 1 2 1'
_space_group_IT_number 5
_space_group_name_Hall 'C 2y'
_cell_length_a 16.691
_cell_length_b 12.166
_cell_length_c 6.080
_cell_angle_alpha 90.00
_cell_angle_beta 90.16
_cell_angle_gamma 90.00
loop_
_atom_site_label
_atom_site_fract_x
_atom_site_fract_y
_atom_site_fract_z
Mg1 0.000 0.000 0.000
Mg2 0.000 0.497 0.500
Mg3 0.061 0.748 0.747
Mg4 0.064 0.248 0.743
Mg5 0.124 0.876 0.251
Mg6 0.126 0.373 0.251
Mg7 0.186 0.002 0.759
Mg8 0.188 0.500 0.756
Mg9 0.250 0.250 0.501
Ti1 0.000 0.491 0.000
Ti2 0.000 0.994 0.500
Ti3 0.125 0.127 0.246
Ti4 0.125 0.622 0.267
Ti5 0.246 0.757 0.998
O1 0.000 0.388 0.237
O2 0.001 0.890 0.735
O3 0.007 0.116 0.259
O4 0.007 0.613 0.240
O5 0.118 0.504 0.020
O6 0.119 0.006 0.484
O7 0.123 0.007 0.033
O8 0.125 0.742 0.469
O9 0.126 0.505 0.473
O10 0.127 0.244 0.469
O11 0.130 0.745 0.016
O12 0.132 0.243 0.018
O13 0.242 0.634 0.236
O14 0.244 0.135 0.241
O15 0.249 0.861 0.764
O16 0.250 0.359 0.764
```

Main lines, low angle first (5 to 70 degrees two-theta):
- 18.1 deg, rel. 71, (2 0 1)
- 29.8 deg, rel. 21, (4 2 1)
- 34.7 deg, rel. 100, (2 4 -1)
- 35.5 deg, rel. 55, (6 0 -1)
- 42.0 deg, rel. 61, (0 4 2)
- 43.4 deg, rel. 29, (8 0 0)
- 55.6 deg, rel. 41, (2 4 3)
- 60.9 deg, rel. 35, (0 0 4)
- 61.9 deg, rel. 35, (8 4 -2)
- 62.0 deg, rel. 34, (8 4 2)